[1]
The following is a simulated powder diffractogram of AcPd3F12. It was derived from a PBE-relaxed structure, using Cu Kα.
Lines closer than 0.1° are merged.

Structure:
a b c (Å): 8.0629 8.0629 16.8847
angles (deg): 90.00 90.00 120.00
Space group R-3m (No. 166, hexagonal axes)
One atom of each set of equivalent atoms:
Ac 0.0000 0.0000 0.0000
Pd 0.0000 0.5000 0.5000
F 0.0118 0.5059 0.3840
F 0.1084 0.5542 0.8127

Main lines, in order of falling intensity (2θ = 5–70°):
2θ/deg	d_spacing	I (rel.)
13.72	6.453	100
27.65	3.226	32
27.21	3.277	25
44.97	2.016	15
33.30	2.690	14
34.39	2.608	13



[2]
The following is a simulated powder diffractogram of AcPd2F11. It was derived from a PBE-relaxed structure, using Cu Kα.
Lines closer than 0.1° are merged.

Structure:
a b c (Å): 9.084 9.084 10.857
angles (deg): 90.00 90.00 90.00
Space group I4/mcm (No. 140)
One atom of each set of equivalent atoms:
Ac 0.000 0.000 0.250
Pd 0.160 0.340 0.000
F 0.000 0.500 0.000
F 0.058 0.228 0.128
F 0.193 0.307 0.500

Main lines, in order of falling intensity (2θ = 5–70°):
2θ/deg	d_spacing	I (rel.)
21.43	4.146	100
25.57	3.484	71
23.38	3.805	52
31.13	2.873	38
46.00	1.973	35
45.54	1.992	34